No. 1
For Ca3Ag8, a DFT-relaxed cell (GGA-PBE, Alexandria) gives the simulated XRD peak list in this record (Cu Kα).

Cell and atoms:
a = 9.9979 Å, b = 9.9979 Å, c = 9.9979 Å
α = 90.00°, β = 90.00°, γ = 90.00°
Space group Im-3m (No. 229)
One atom of each set of equivalent atoms:
Ca 0.0000 0.0000 0.2789 (multiplicity 12)
Ag 0.0000 0.3419 0.3419 (multiplicity 24)
Ag 0.2500 0.2500 0.2500 (multiplicity 8)

Principal peaks in the range 5 to 70 degrees two-theta, in order of rising 2θ:
| h k l | 2θ/deg | I/Imax |
| --- | --- | --- |
| 1 1 0 | 12.52 | 49 |
| 3 2 1 | 33.54 | 29 |
| 3 3 0 | 38.19 | 100 |
| 4 2 0 | 40.34 | 35 |
| 4 2 2 | 44.39 | 21 |
| 6 3 3 | 69.03 | 25 |

No. 2
For Ca5Ag, a DFT-relaxed cell (GGA-PBE, Alexandria) gives the simulated XRD peak list in this record (Cu Kα).

Cell and atoms:
a = 3.8525 Å, b = 3.8525 Å, c = 14.5966 Å
α = 90.00°, β = 90.00°, γ = 90.00°
Space group P4/mmm (No. 123)
One atom of each set of equivalent atoms:
Ca 0.0000 0.0000 0.0000 (multiplicity 1)
Ca 0.0000 0.0000 0.3802 (multiplicity 2)
Ca 0.5000 0.5000 0.1894 (multiplicity 2)
Ag 0.5000 0.5000 0.5000 (multiplicity 1)

Principal peaks in the range 5 to 70 degrees two-theta, in order of rising 2θ:
| h k l | 2θ/deg | I/Imax |
| --- | --- | --- |
| 0 0 1 | 6.05 | 100 |
| 0 0 2 | 12.13 | 23 |
| 1 0 3 | 29.58 | 98 |
| 1 1 0 | 32.88 | 47 |
| 1 0 4 | 33.83 | 21 |
| 2 1 3 | 56.68 | 29 |

No. 3
For Ca3Ag8, a DFT-relaxed cell (GGA-PBE, Alexandria) gives the simulated XRD peak list in this record (Cu Kα).

Cell and atoms:
a = 8.1874 Å, b = 4.8625 Å, c = 12.7167 Å
α = 90.00°, β = 101.03°, γ = 90.00°
Space group C2/m (No. 12)
One atom of each set of equivalent atoms:
Ca 0.0000 0.0000 0.0000 (multiplicity 2)
Ca 0.0417 0.5000 0.6447 (multiplicity 4)
Ag 0.0839 0.0000 0.2395 (multiplicity 4)
Ag 0.1288 0.5000 0.8874 (multiplicity 4)
Ag 0.1634 0.0000 0.4835 (multiplicity 4)
Ag 0.2239 0.5000 0.1642 (multiplicity 4)

Principal peaks in the range 5 to 70 degrees two-theta, in order of rising 2θ:
| h k l | 2θ/deg | I/Imax |
| --- | --- | --- |
| 0 0 3 | 21.36 | 50 |
| 2 0 3 | 33.85 | 36 |
| 1 1 -4 | 34.17 | 65 |
| 0 2 0 | 36.97 | 53 |
| 3 1 -1 | 37.81 | 100 |
| 2 2 3 | 50.99 | 22 |

No. 4
For Ca3Ag2, a DFT-relaxed cell (GGA-PBE, Alexandria) gives the simulated XRD peak list in this record (Cu Kα).

Cell and atoms:
a = 8.1836 Å, b = 8.1836 Å, c = 4.3444 Å
α = 90.00°, β = 90.00°, γ = 90.00°
Space group P4/mbm (No. 127)
One atom of each set of equivalent atoms:
Ca 0.0000 0.0000 0.0000 (multiplicity 2)
Ca 0.1644 0.3356 0.5000 (multiplicity 4)
Ag 0.1277 0.6277 0.0000 (multiplicity 4)

Principal peaks in the range 5 to 70 degrees two-theta, in order of rising 2θ:
| h k l | 2θ/deg | I/Imax |
| --- | --- | --- |
| 1 1 0 | 15.31 | 22 |
| 0 0 1 | 20.44 | 25 |
| 2 1 0 | 24.32 | 18 |
| 2 1 1 | 31.98 | 100 |
| 3 1 0 | 34.66 | 32 |
| 3 2 1 | 45.07 | 17 |

No. 5
For CaAg, a DFT-relaxed cell (GGA-PBE, Alexandria) gives the simulated XRD peak list in this record (Cu Kα).

Cell and atoms:
a = 6.1098 Å, b = 6.1098 Å, c = 6.1470 Å
α = 90.00°, β = 90.00°, γ = 90.00°
Space group P4_2/mnm (No. 136)
One atom of each set of equivalent atoms:
Ca 0.2044 0.2044 0.0000 (multiplicity 4)
Ag 0.1869 0.1869 0.5000 (multiplicity 4)

Principal peaks in the range 5 to 70 degrees two-theta, in order of rising 2θ:
| h k l | 2θ/deg | I/Imax |
| --- | --- | --- |
| 1 1 1 | 25.20 | 67 |
| 0 0 2 | 29.05 | 90 |
| 2 0 0 | 29.23 | 97 |
| 2 1 0 | 32.78 | 100 |
| 2 0 2 | 41.69 | 71 |
| 2 1 2 | 44.37 | 92 |

No. 6
For Ca2Ag5, a DFT-relaxed cell (GGA-PBE, Alexandria) gives the simulated XRD peak list in this record (Cu Kα).

Cell and atoms:
a = 7.7340 Å, b = 13.0771 Å, c = 6.1784 Å
α = 90.00°, β = 90.00°, γ = 90.00°
Space group Ibam (No. 72)
One atom of each set of equivalent atoms:
Ca 0.1886 0.1043 0.0000 (multiplicity 8)
Ag 0.0000 0.2763 0.2500 (multiplicity 8)
Ag 0.0000 0.5000 0.2500 (multiplicity 4)
Ag 0.2272 0.1367 0.5000 (multiplicity 8)

Principal peaks in the range 5 to 70 degrees two-theta, in order of rising 2θ:
| h k l | 2θ/deg | I/Imax |
| --- | --- | --- |
| 1 1 0 | 13.30 | 34 |
| 1 2 1 | 22.90 | 40 |
| 2 4 0 | 35.97 | 88 |
| 2 0 2 | 37.25 | 100 |
| 0 4 2 | 40.16 | 71 |
| 4 0 0 | 47.00 | 33 |

No. 7
For Ca2Ag7, a DFT-relaxed cell (GGA-PBE, Alexandria) gives the simulated XRD peak list in this record (Cu Kα).

Cell and atoms:
a = 9.5220 Å, b = 5.5797 Å, c = 14.3023 Å
α = 90.00°, β = 90.00°, γ = 90.00°
Space group Cmcm (No. 63)
One atom of each set of equivalent atoms:
Ca 0.0000 0.1782 0.1141 (multiplicity 8)
Ag 0.0000 0.3260 0.7500 (multiplicity 4)
Ag 0.1634 0.3283 0.5758 (multiplicity 16)
Ag 0.2493 0.0767 0.7500 (multiplicity 8)

Principal peaks in the range 5 to 70 degrees two-theta, in order of rising 2θ:
| h k l | 2θ/deg | I/Imax |
| --- | --- | --- |
| 1 1 1 | 19.46 | 24 |
| 1 1 5 | 36.54 | 18 |
| 0 2 3 | 37.35 | 31 |
| 0 0 6 | 37.69 | 100 |
| 4 0 2 | 39.91 | 20 |
| 2 2 3 | 42.05 | 24 |

No. 8
For Ca2Ag17, a DFT-relaxed cell (GGA-PBE, Alexandria) gives the simulated XRD peak list in this record (Cu Kα).

Cell and atoms:
a = 9.6234 Å, b = 9.6234 Å, c = 14.3464 Å
α = 90.00°, β = 90.00°, γ = 120.00°
Space group R-3m (No. 166, hexagonal axes)
One atom of each set of equivalent atoms:
Ca 0.0000 0.0000 0.1614 (multiplicity 6)
Ag 0.0000 0.0000 0.4017 (multiplicity 6)
Ag 0.0000 0.3030 0.5000 (multiplicity 18)
Ag 0.0000 0.5000 0.0000 (multiplicity 9)
Ag 0.0024 0.5012 0.6523 (multiplicity 18)

Principal peaks in the range 5 to 70 degrees two-theta, in order of rising 2θ:
| h k l | 2θ/deg | I/Imax |
| --- | --- | --- |
| 1 0 1 | 12.28 | 19 |
| 1 1 0 | 18.44 | 26 |
| 2 2 0 | 37.42 | 100 |
| 0 0 6 | 37.62 | 25 |
| 2 2 3 | 42.04 | 80 |
| 1 1 6 | 42.20 | 27 |

No. 9
For Ca5Ag24, a DFT-relaxed cell (GGA-PBE, Alexandria) gives the simulated XRD peak list in this record (Cu Kα).

Cell and atoms:
a = 10.5308 Å, b = 10.5308 Å, c = 10.5308 Å
α = 90.00°, β = 90.00°, γ = 90.00°
Space group I-43m (No. 217)
One atom of each set of equivalent atoms:
Ca 0.0000 0.0000 0.0000 (multiplicity 2)
Ca 0.1895 0.1895 0.8105 (multiplicity 8)
Ag 0.0378 0.3639 0.3639 (multiplicity 24)
Ag 0.0928 0.0928 0.2827 (multiplicity 24)

Principal peaks in the range 5 to 70 degrees two-theta, in order of rising 2θ:
| h k l | 2θ/deg | I/Imax |
| --- | --- | --- |
| 2 1 1 | 20.66 | 12 |
| 4 1 1 | 36.19 | 100 |
| 3 3 2 | 40.16 | 41 |
| 4 3 1 | 43.84 | 31 |
| 5 5 0 | 62.35 | 11 |
| 7 2 1 | 65.09 | 25 |

No. 10
For Ca2Ag, a DFT-relaxed cell (GGA-PBE, Alexandria) gives the simulated XRD peak list in this record (Cu Kα).

Cell and atoms:
a = 7.5182 Å, b = 7.5182 Å, c = 6.6257 Å
α = 90.00°, β = 90.00°, γ = 90.00°
Space group I4/mcm (No. 140)
One atom of each set of equivalent atoms:
Ca 0.1741 0.3259 0.0000 (multiplicity 8)
Ag 0.0000 0.0000 0.2500 (multiplicity 4)

Principal peaks in the range 5 to 70 degrees two-theta, in order of rising 2θ:
| h k l | 2θ/deg | I/Imax |
| --- | --- | --- |
| 1 1 0 | 16.68 | 100 |
| 2 1 1 | 29.80 | 43 |
| 1 1 2 | 31.83 | 80 |
| 2 2 0 | 33.72 | 40 |
| 2 0 2 | 36.14 | 86 |
| 3 1 0 | 37.84 | 66 |

No. 11
For Ca5Ag3, a DFT-relaxed cell (GGA-PBE, Alexandria) gives the simulated XRD peak list in this record (Cu Kα).

Cell and atoms:
a = 6.3630 Å, b = 17.1921 Å, c = 9.1501 Å
α = 90.00°, β = 110.26°, γ = 90.00°
Space group Cm (No. 8)
One atom of each set of equivalent atoms:
Ca 0.9998 0.0000 0.9996 (multiplicity 2)
Ca 0.0000 0.5000 0.0000 (multiplicity 2)
Ca 0.0651 0.1026 0.6314 (multiplicity 4)
Ca 0.1467 0.3159 0.7945 (multiplicity 4)
Ca 0.3523 0.3158 0.2051 (multiplicity 4)
Ca 0.4337 0.1026 0.3681 (multiplicity 4)
Ag 0.0913 0.5000 0.6819 (multiplicity 2)
Ag 0.2494 0.2501 0.4998 (multiplicity 4)
Ag 0.2497 0.1592 0.9998 (multiplicity 4)
Ag 0.4095 0.5000 0.3177 (multiplicity 2)

Principal peaks in the range 5 to 70 degrees two-theta, in order of rising 2θ:
| h k l | 2θ/deg | I/Imax |
| --- | --- | --- |
| 1 3 -1 | 21.51 | 70 |
| 0 2 2 | 23.15 | 42 |
| 2 2 0 | 31.75 | 73 |
| 0 6 1 | 32.97 | 65 |
| 1 5 1 | 33.52 | 100 |
| 2 0 2 | 42.49 | 61 |

No. 12
For CaAg11, a DFT-relaxed cell (GGA-PBE, Alexandria) gives the simulated XRD peak list in this record (Cu Kα).

Cell and atoms:
a = 11.3421 Å, b = 11.3421 Å, c = 7.4899 Å
α = 90.00°, β = 90.00°, γ = 90.00°
Space group I4_1/amd (No. 141, origin choice 2)
One atom of each set of equivalent atoms:
Ca 0.0000 0.2500 0.3750 (multiplicity 4)
Ag 0.0000 0.0000 0.0000 (multiplicity 8)
Ag 0.0000 0.2500 0.8750 (multiplicity 4)
Ag 0.1214 0.0447 0.6771 (multiplicity 32)

Principal peaks in the range 5 to 70 degrees two-theta, in order of rising 2θ:
| h k l | 2θ/deg | I/Imax |
| --- | --- | --- |
| 2 0 0 | 15.63 | 23 |
| 3 1 2 | 34.63 | 53 |
| 4 2 0 | 35.39 | 43 |
| 2 1 3 | 40.26 | 38 |
| 5 0 1 | 41.59 | 100 |
| 4 2 2 | 43.08 | 34 |